Starting from a DFT-relaxed cell (GGA-PBE, Alexandria), the X-ray powder pattern of LiAl2Ga2 was calculated for Cu Kα (weighted mean of Kα1 and Kα2).
Peak positions follow from Bragg's law for the DFT cell and can differ from measured ones.

Main lines, sorted by position (10 to 90 degrees two-theta):
hkl 2 0 0, 2θ = 15.8°, I = 54; hkl 1 1 0, 2θ = 16.8°, I = 16; hkl 3 0 0, 2θ = 23.8°, I = 29; hkl 0 2 1, 2θ = 34.9°, I = 20; hkl 2 2 -1, 2θ = 37.6°, I = 100; hkl 1 0 2, 2θ = 37.7°, I = 44; hkl 5 0 0, 2θ = 40.1°, I = 38; hkl 3 2 1, 2θ = 43.9°, I = 58; hkl 4 0 -2, 2θ = 45.7°, I = 25; hkl 1 2 -3, 2θ = 63.6°, I = 18; hkl 7 2 -1, 2θ = 66.8°, I = 16; hkl 1 4 2, 2θ = 74.8°, I = 13

Structural model:
a b c (Å): 11.317 5.996 5.034
angles (deg): 90.00 96.59 90.00
Fractional positions:
Li 0.199 0.126 0.146
Li 0.199 0.374 0.646
Li 0.801 0.626 0.354
Li 0.801 0.874 0.854
Al 0.201 0.626 0.138
Al 0.201 0.874 0.638
Al 0.402 0.129 0.552
Al 0.402 0.371 0.052
Al 0.598 0.629 0.948
Al 0.598 0.871 0.448
Al 0.799 0.126 0.362
Al 0.799 0.374 0.862
Ga 0.002 0.121 0.753
Ga 0.002 0.379 0.253
Ga 0.398 0.613 0.568
Ga 0.398 0.887 0.068
Ga 0.602 0.113 0.932
Ga 0.602 0.387 0.432
Ga 0.998 0.621 0.747
Ga 0.998 0.879 0.247